No. 1
This entry pairs a crystal structure of MgBiW2O8 with its simulated powder X-ray diffraction pattern. Radiation: a wavelength of 1.5418 Å. Structure: a structure optimized by DFT (GGA+U).
No peak broadening, texture or thermal motion is included.

The 6 most intense peaks (2θ from 10° to 80°), by intensity:
2θ 18.69, I = 100; 2θ 26.24, I = 68; 2θ 34.13, I = 65; 2θ 27.20, I = 63; 2θ 29.90, I = 57; 2θ 30.97, I = 50

Atomic structure:
```
data_MgBiW2O8
_cell_length_a 5.262
_cell_length_b 5.982
_cell_length_c 6.062
_cell_angle_alpha 70.39
_cell_angle_beta 89.80
_cell_angle_gamma 66.41
_symmetry_space_group_name_H-M 'P 1'
_symmetry_Int_Tables_number 1
_symmetry_space_group_name_Hall 'P 1'
loop_
_atom_site_label
_atom_site_fract_x
_atom_site_fract_y
_atom_site_fract_z
Mg1 0.000 0.000 0.000
Bi1 0.479 0.039 0.348
W1 0.233 0.530 0.685
W2 0.706 0.561 0.004
O1 0.143 0.305 0.013
O2 0.211 0.297 0.570
O3 0.229 0.777 0.396
O4 0.299 0.758 0.880
O5 0.630 0.348 0.812
O6 0.728 0.293 0.276
O7 0.744 0.821 0.120
O8 0.834 0.736 0.694
```

***

No. 2
This entry pairs a crystal structure of MgBiWO5 with its simulated powder X-ray diffraction pattern. Radiation: a wavelength of 1.5418 Å. Structure: a structure optimized by DFT (GGA+U).
No peak broadening, texture or thermal motion is included.

The 6 most intense peaks (2θ from 10° to 80°), by intensity:
2θ 29.10, I = 100; 2θ 23.93, I = 93; 2θ 17.83, I = 48; 2θ 30.07, I = 37; 2θ 32.14, I = 35; 2θ 33.98, I = 30

Atomic structure:
```
data_MgBiWO5
_cell_length_a 5.433
_cell_length_b 11.887
_cell_length_c 8.469
_cell_angle_alpha 90.00
_cell_angle_beta 113.70
_cell_angle_gamma 90.00
_symmetry_space_group_name_H-M 'P 1 21/c 1'
_symmetry_Int_Tables_number 14
_symmetry_space_group_name_Hall '-P 2ybc'
loop_
_atom_site_label
_atom_site_fract_x
_atom_site_fract_y
_atom_site_fract_z
Mg1 0.065 0.080 0.173
Bi1 0.445 0.103 0.846
W1 0.289 0.638 0.024
O1 0.153 0.572 0.168
O2 0.196 0.704 0.478
O3 0.258 0.029 0.013
O4 0.277 0.566 0.824
O5 0.356 0.187 0.338
```

***

No. 3
This entry pairs a crystal structure of MgBiW2O8 with its simulated powder X-ray diffraction pattern. Radiation: a wavelength of 1.5418 Å. Structure: a structure optimized by DFT (GGA+U).
No peak broadening, texture or thermal motion is included.

The 6 most intense peaks (2θ from 10° to 80°), by intensity:
2θ 18.63, I = 100; 2θ 26.26, I = 63; 2θ 25.24, I = 58; 2θ 26.14, I = 53; 2θ 29.77, I = 49; 2θ 29.85, I = 49

Atomic structure:
```
data_MgBiW2O8
_cell_length_a 5.414
_cell_length_b 6.084
_cell_length_c 6.250
_cell_angle_alpha 72.14
_cell_angle_beta 64.88
_cell_angle_gamma 88.05
_symmetry_space_group_name_H-M 'P 1'
_symmetry_Int_Tables_number 1
_symmetry_space_group_name_Hall 'P 1'
loop_
_atom_site_label
_atom_site_fract_x
_atom_site_fract_y
_atom_site_fract_z
Mg1 0.000 0.000 0.000
Bi1 0.343 0.167 0.369
W1 0.076 0.508 0.907
W2 0.541 0.796 0.919
O1 0.055 0.336 0.720
O2 0.063 0.227 0.160
O3 0.139 0.693 0.125
O4 0.453 0.595 0.735
O5 0.496 0.053 0.695
O6 0.592 0.954 0.140
O7 0.649 0.488 0.104
O8 0.980 0.824 0.753
```

***

No. 4
This entry pairs a crystal structure of Sr4Mn2Nb4Bi4O23 with its simulated powder X-ray diffraction pattern. Radiation: a wavelength of 1.5418 Å. Structure: a structure optimized by DFT (GGA+U).
No peak broadening, texture or thermal motion is included.

The 6 most intense peaks (2θ from 10° to 80°), by intensity:
2θ 29.58, I = 100; 2θ 31.91, I = 48; 2θ 26.30, I = 39; 2θ 46.54, I = 19; 2θ 55.36, I = 18; 2θ 55.49, I = 17

Atomic structure:
```
data_Sr4Mn2Nb4Bi4O23
_cell_length_a 5.610
_cell_length_b 32.598
_cell_length_c 5.610
_cell_angle_alpha 90.00
_cell_angle_beta 90.24
_cell_angle_gamma 90.00
_symmetry_space_group_name_H-M 'C 1 2/m 1'
_symmetry_Int_Tables_number 12
_symmetry_space_group_name_Hall '-C 2y'
loop_
_atom_site_label
_atom_site_fract_x
_atom_site_fract_y
_atom_site_fract_z
Sr1 0.241 0.059 0.259
Mn1 0.245 0.000 0.745
Nb1 0.248 0.375 0.248
Bi1 0.249 0.212 0.251
O1 0.000 0.000 0.000
O2 0.000 0.000 0.500
O3 0.000 0.115 0.500
O4 0.000 0.119 0.000
O5 0.000 0.250 0.000
O6 0.000 0.250 0.500
O7 0.000 0.378 0.000
O8 0.000 0.381 0.500
O9 0.000 0.500 0.500
O10 0.225 0.441 0.225
O11 0.246 0.184 0.746
```

***

No. 5
This entry pairs a crystal structure of SrMnNbBiO6 with its simulated powder X-ray diffraction pattern. Radiation: a wavelength of 1.5418 Å. Structure: a structure optimized by DFT (GGA+U).
No peak broadening, texture or thermal motion is included.

The 6 most intense peaks (2θ from 10° to 80°), by intensity:
2θ 31.00, I = 100; 2θ 55.14, I = 40; 2θ 44.41, I = 32; 2θ 18.84, I = 20; 2θ 64.61, I = 19; 2θ 73.38, I = 18

Atomic structure:
```
data_SrMnNbBiO6
_cell_length_a 8.160
_cell_length_b 8.160
_cell_length_c 8.160
_cell_angle_alpha 90.00
_cell_angle_beta 90.00
_cell_angle_gamma 90.00
_symmetry_space_group_name_H-M 'F -4 3 m'
_symmetry_Int_Tables_number 216
_symmetry_space_group_name_Hall 'F -4 2 3'
loop_
_atom_site_label
_atom_site_fract_x
_atom_site_fract_y
_atom_site_fract_z
Sr1 0.000 0.000 0.000
Mn1 0.250 0.250 0.250
Nb1 0.250 0.250 0.750
Bi1 0.000 0.000 0.500
O1 0.005 0.250 0.750
```

***

No. 6
This entry pairs a crystal structure of MnNiBi2O6 with its simulated powder X-ray diffraction pattern. Radiation: a wavelength of 1.5418 Å. Structure: a structure optimized by DFT (GGA+U).
No peak broadening, texture or thermal motion is included.

The 6 most intense peaks (2θ from 10° to 80°), by intensity:
2θ 32.18, I = 100; 2θ 32.32, I = 98; 2θ 22.52, I = 61; 2θ 31.61, I = 50; 2θ 45.97, I = 48; 2θ 32.51, I = 43

Atomic structure:
```
data_MnNiBi2O6
_cell_length_a 9.614
_cell_length_b 5.509
_cell_length_c 9.670
_cell_angle_alpha 90.00
_cell_angle_beta 108.09
_cell_angle_gamma 90.00
_symmetry_space_group_name_H-M 'C 1 2 1'
_symmetry_Int_Tables_number 5
_symmetry_space_group_name_Hall 'C 2y'
loop_
_atom_site_label
_atom_site_fract_x
_atom_site_fract_y
_atom_site_fract_z
Mn1 0.248 0.000 0.251
Ni1 0.000 0.508 0.000
Ni2 0.000 0.987 0.500
Bi1 0.133 0.964 0.877
Bi2 0.135 0.528 0.374
O1 0.087 0.947 0.330
O2 0.092 0.555 0.831
O3 0.149 0.783 0.094
O4 0.156 0.719 0.591
O5 0.158 0.283 0.134
O6 0.160 0.220 0.630
```

***

No. 7
This entry pairs a crystal structure of MnNiBi2O6 with its simulated powder X-ray diffraction pattern. Radiation: a wavelength of 1.5418 Å. Structure: a structure optimized by DFT (GGA+U).
No peak broadening, texture or thermal motion is included.

The 6 most intense peaks (2θ from 10° to 80°), by intensity:
2θ 32.09, I = 100; 2θ 32.50, I = 96; 2θ 22.53, I = 63; 2θ 31.48, I = 51; 2θ 45.99, I = 51; 2θ 32.66, I = 45

Atomic structure:
```
data_MnNiBi2O6
_cell_length_a 9.562
_cell_length_b 5.484
_cell_length_c 9.727
_cell_angle_alpha 90.00
_cell_angle_beta 107.77
_cell_angle_gamma 90.00
_symmetry_space_group_name_H-M 'C 1 2/c 1'
_symmetry_Int_Tables_number 15
_symmetry_space_group_name_Hall '-C 2yc'
loop_
_atom_site_label
_atom_site_fract_x
_atom_site_fract_y
_atom_site_fract_z
Mn1 0.250 0.250 0.000
Ni1 0.000 0.237 0.250
Bi1 0.135 0.229 0.622
O1 0.088 0.192 0.080
O2 0.155 0.037 0.840
O3 0.159 0.462 0.388
```

***

No. 8
This entry pairs a crystal structure of MnNiBi2O6 with its simulated powder X-ray diffraction pattern. Radiation: a wavelength of 1.5418 Å. Structure: a structure optimized by DFT (GGA+U).
No peak broadening, texture or thermal motion is included.

The 6 most intense peaks (2θ from 10° to 80°), by intensity:
2θ 32.39, I = 100; 2θ 32.50, I = 99; 2θ 22.67, I = 60; 2θ 32.92, I = 51; 2θ 31.61, I = 40; 2θ 52.67, I = 40

Atomic structure:
```
data_MnNiBi2O6
_cell_length_a 5.442
_cell_length_b 5.661
_cell_length_c 9.461
_cell_angle_alpha 90.00
_cell_angle_beta 124.85
_cell_angle_gamma 90.00
_symmetry_space_group_name_H-M 'P 1 21/c 1'
_symmetry_Int_Tables_number 14
_symmetry_space_group_name_Hall '-P 2ybc'
loop_
_atom_site_label
_atom_site_fract_x
_atom_site_fract_y
_atom_site_fract_z
Mn1 0.000 0.000 0.000
Ni1 0.500 0.000 0.500
Bi1 0.260 0.057 0.750
O1 0.151 0.026 0.242
O2 0.234 0.712 0.045
O3 0.335 0.193 0.044
```